Starting from a GGA-PBE-relaxed structure, the X-ray powder pattern of GdH3 was computed for Cu Kα (weighted mean of Kα1 and Kα2).

Largest 8 diffraction maxima, in order of falling intensity, 15 to 90 degrees two-theta:
- 2θ 30.76, intensity 100
- 2θ 26.59, intensity 33
- 2θ 49.63, intensity 28
- 2θ 56.52, intensity 25
- 2θ 27.65, intensity 22
- 2θ 48.90, intensity 20
- 2θ 38.74, intensity 18
- 2θ 58.88, intensity 16

Atomic structure:
Cell: 3.7254 3.7254 6.7035 Å, 90.00 90.00 120.00°
Fractional coordinates of all 8 atoms:
Gd (0.3333, 0.6667, 0.2500)
Gd (0.6667, 0.3333, 0.7500)
H (0.0000, 0.0000, 0.2500)
H (0.0000, 0.0000, 0.7500)
H (0.3333, 0.6667, 0.5942)
H (0.3333, 0.6667, 0.9058)
H (0.6667, 0.3333, 0.0942)
H (0.6667, 0.3333, 0.4058)



Starting from a GGA-PBE-relaxed structure, the X-ray powder pattern of GaNi6Ge was computed for Cu Kα (weighted mean of Kα1 and Kα2).

Largest 3 diffraction maxima, in order of falling intensity, 15 to 90 degrees two-theta:
- 2θ 43.92, intensity 100
- 2θ 51.17, intensity 47
- 2θ 75.28, intensity 27

Atomic structure:
Cell: 3.5702 3.5702 7.1417 Å, 90.00 90.00 90.00°
Fractional coordinates of all 8 atoms:
Ga (0.0000, 0.0000, 0.0000)
Ni (0.0000, 0.5000, 0.2509)
Ni (0.0000, 0.5000, 0.7491)
Ni (0.5000, 0.0000, 0.2509)
Ni (0.5000, 0.0000, 0.7491)
Ni (0.5000, 0.5000, 0.0000)
Ni (0.5000, 0.5000, 0.5000)
Ge (0.0000, 0.0000, 0.5000)



Starting from a GGA-PBE-relaxed structure, the X-ray powder pattern of NdDy3 was computed for Cu Kα (weighted mean of Kα1 and Kα2).

Largest 8 diffraction maxima, in order of falling intensity, 15 to 90 degrees two-theta:
- 2θ 30.59, intensity 100
- 2θ 35.47, intensity 51
- 2θ 60.68, intensity 43
- 2θ 51.04, intensity 36
- 2θ 83.20, intensity 18
- 2θ 85.87, intensity 17
- 2θ 63.69, intensity 12
- 2θ 75.07, intensity 6

Atomic structure:
Cell: 6.2010 6.2010 6.2010 Å, 131.84 131.84 70.48°
Fractional coordinates of all 4 atoms:
Nd (0.0000, 0.0000, 0.0000)
Dy (0.2500, 0.7500, 0.5000)
Dy (0.5000, 0.5000, 0.0000)
Dy (0.7500, 0.2500, 0.5000)



Starting from a GGA-PBE-relaxed structure, the X-ray powder pattern of Sc3Al was computed for Cu Kα (weighted mean of Kα1 and Kα2).

Largest 8 diffraction maxima, in order of falling intensity, 15 to 90 degrees two-theta:
- 2θ 37.40, intensity 100
- 2θ 35.57, intensity 26
- 2θ 32.75, intensity 25
- 2θ 70.34, intensity 18
- 2θ 65.09, intensity 17
- 2θ 58.46, intensity 16
- 2θ 49.12, intensity 14
- 2θ 71.49, intensity 12

Atomic structure:
Cell: 6.3148 6.3148 5.0477 Å, 90.00 90.00 120.00°
Fractional coordinates of all 8 atoms:
Sc (0.1714, 0.3428, 0.2500)
Sc (0.1714, 0.8286, 0.2500)
Sc (0.3428, 0.1714, 0.7500)
Sc (0.6572, 0.8286, 0.2500)
Sc (0.8286, 0.1714, 0.7500)
Sc (0.8286, 0.6572, 0.7500)
Al (0.3333, 0.6667, 0.7500)
Al (0.6667, 0.3333, 0.2500)



Starting from a GGA-PBE-relaxed structure, the X-ray powder pattern of CsReBr4 was computed for Cu Kα (weighted mean of Kα1 and Kα2).

Largest 8 diffraction maxima, in order of falling intensity, 15 to 90 degrees two-theta:
- 2θ 29.32, intensity 100
- 2θ 26.80, intensity 65
- 2θ 27.30, intensity 41
- 2θ 43.52, intensity 40
- 2θ 29.68, intensity 30
- 2θ 44.77, intensity 28
- 2θ 48.26, intensity 28
- 2θ 25.38, intensity 25

Atomic structure:
Cell: 10.6016 13.0694 13.5651 Å, 90.00 90.00 90.00°
Fractional coordinates of all 48 atoms:
Cs (0.1649, 0.1960, 0.1331)
Cs (0.1649, 0.3040, 0.6331)
Cs (0.3351, 0.6960, 0.1331)
Cs (0.3351, 0.8040, 0.6331)
Cs (0.6649, 0.1960, 0.3669)
Cs (0.6649, 0.3040, 0.8669)
Cs (0.8351, 0.6960, 0.3669)
Cs (0.8351, 0.8040, 0.8669)
Re (0.0597, 0.0145, 0.4308)
Re (0.0597, 0.4855, 0.9308)
Re (0.4403, 0.5145, 0.4308)
Re (0.4403, 0.9855, 0.9308)
Re (0.5597, 0.0145, 0.0692)
Re (0.5597, 0.4855, 0.5692)
Re (0.9403, 0.5145, 0.0692)
Re (0.9403, 0.9855, 0.5692)
Br (0.0287, 0.2015, 0.3955)
Br (0.0287, 0.2985, 0.8955)
Br (0.0863, 0.0149, 0.7113)
Br (0.0863, 0.4851, 0.2113)
Br (0.1515, 0.6558, 0.8904)
Br (0.1515, 0.8442, 0.3904)
Br (0.2282, 0.5614, 0.4973)
Br (0.2282, 0.9386, 0.9973)
Br (0.2718, 0.0614, 0.4973)
Br (0.2718, 0.4386, 0.9973)
Br (0.3485, 0.1558, 0.8904)
Br (0.3485, 0.3442, 0.3904)
Br (0.4137, 0.5149, 0.7113)
Br (0.4137, 0.9851, 0.2113)
Br (0.4713, 0.7015, 0.3955)
Br (0.4713, 0.7985, 0.8955)
Br (0.5287, 0.2015, 0.1045)
Br (0.5287, 0.2985, 0.6045)
Br (0.5863, 0.0149, 0.7887)
Br (0.5863, 0.4851, 0.2887)
Br (0.6515, 0.6558, 0.6096)
Br (0.6515, 0.8442, 0.1096)
Br (0.7282, 0.5614, 0.0027)
Br (0.7282, 0.9386, 0.5027)
Br (0.7718, 0.0614, 0.0027)
Br (0.7718, 0.4386, 0.5027)
Br (0.8485, 0.1558, 0.6096)
Br (0.8485, 0.3442, 0.1096)
Br (0.9137, 0.5149, 0.7887)
Br (0.9137, 0.9851, 0.2887)
Br (0.9713, 0.7015, 0.1045)
Br (0.9713, 0.7985, 0.6045)



Starting from a GGA-PBE-relaxed structure, the X-ray powder pattern of TmRe2 was computed for Cu Kα (weighted mean of Kα1 and Kα2).

Largest 8 diffraction maxima, in order of falling intensity, 15 to 90 degrees two-theta:
- 2θ 39.17, intensity 100
- 2θ 39.87, intensity 91
- 2θ 36.26, intensity 66
- 2θ 66.68, intensity 32
- 2θ 69.58, intensity 29
- 2θ 63.27, intensity 25
- 2θ 33.15, intensity 25
- 2θ 61.26, intensity 25

Atomic structure:
Cell: 5.4047 5.4047 8.7612 Å, 90.00 90.00 120.00°
Fractional coordinates of all 12 atoms:
Tm (0.3333, 0.6667, 0.0629)
Tm (0.3333, 0.6667, 0.4371)
Tm (0.6667, 0.3333, 0.5629)
Tm (0.6667, 0.3333, 0.9371)
Re (0.0000, 0.0000, 0.0000)
Re (0.0000, 0.0000, 0.5000)
Re (0.1719, 0.3437, 0.7500)
Re (0.1719, 0.8281, 0.7500)
Re (0.3437, 0.1719, 0.2500)
Re (0.6563, 0.8281, 0.7500)
Re (0.8281, 0.1719, 0.2500)
Re (0.8281, 0.6563, 0.2500)